For ThUBe26, a GGA-PBE-relaxed structure gives the computed X-ray powder pattern in this record (Cu Kα (λ = 1.5418 Å)).
Lines closer than 0.1° are merged.

Atomic structure:
a b c (Å): 10.245 10.245 10.245
angles (deg): 90.00 90.00 90.00
Space group F432 (No. 209)
Inequivalent atoms, fractional coordinates:
Th1 0.000 0.000 0.000 [4 per cell]
U1 0.000 0.000 0.500 [4 per cell]
Be1 0.075 0.135 0.252 [96 per cell]
Be2 0.250 0.250 0.250 [8 per cell]

Principal peaks in the range 15 to 90 degrees two-theta, in order of falling intensity:
24.58 deg, I = 1000, hkl 2 2 0
17.31 deg, I = 955, hkl 2 0 0
39.33 deg, I = 696, hkl 4 2 0
43.26 deg, I = 573, hkl 4 2 2
30.22 deg, I = 429, hkl 2 2 2
68.54 deg, I = 281, hkl 6 4 2
53.68 deg, I = 260, hkl 4 4 2
56.84 deg, I = 250, hkl 6 2 0
35.04 deg, I = 220, hkl 4 0 0
76.71 deg, I = 207, hkl 8 2 0